Simulated XRD peak list
Compound: MoH12C2N6O4
Radiation: copper Kα
Structure: a structure optimized by DFT (PBE+U)
No peak broadening, texture or thermal motion is included.

Main lines, in order of rising 2θ (5° ≤ 2θ ≤ 70°):
Position (°2θ), I/Imax, (hkl)
14.92, 100, 0 1 1
16.15, 43, 0 0 2
16.77, 87, 1 0 1
18.46, 57, 1 1 0
23.19, 97, 1 1 -2
25.99, 39, 1 0 -3
27.18, 54, 2 0 0
27.45, 44, 0 1 3
30.05, 40, 2 1 -1
30.45, 46, 1 2 1

Structure:
Cell lengths 6.6382, 7.0600, 11.1094 Å; angles 90.00, 98.82, 90.00 degrees
Element x y z (fractional)
Mo: 0.2385 0.2500 0.2470
Mo: 0.7615 0.7500 0.7530
H: 0.1180 0.6273 0.3250
H: 0.1180 0.8727 0.3250
H: 0.1540 0.0740 0.8655
H: 0.1540 0.4260 0.8655
H: 0.2403 0.0403 0.5063
H: 0.2403 0.4597 0.5063
H: 0.3099 0.6274 0.1310
H: 0.3099 0.8726 0.1310
H: 0.3240 0.5936 0.6398
H: 0.3240 0.9064 0.6398
H: 0.3860 0.5384 0.8624
H: 0.3860 0.9616 0.8624
H: 0.6140 0.0384 0.1376
H: 0.6140 0.4616 0.1376
H: 0.6760 0.0936 0.3602
H: 0.6760 0.4064 0.3602
H: 0.6901 0.1274 0.8690
H: 0.6901 0.3726 0.8690
H: 0.7597 0.5403 0.4937
H: 0.7597 0.9597 0.4937
H: 0.8460 0.5740 0.1345
H: 0.8460 0.9260 0.1345
H: 0.8820 0.1273 0.6750
H: 0.8820 0.3727 0.6750
C: 0.2097 0.7500 0.4930
C: 0.4084 0.2500 0.8758
C: 0.5916 0.7500 0.1242
C: 0.7903 0.2500 0.5070
N: 0.1296 0.7500 0.3750
N: 0.2465 0.5861 0.5534
N: 0.2465 0.9139 0.5534
N: 0.3099 0.0842 0.8768
N: 0.3099 0.4158 0.8768
N: 0.3891 0.7500 0.1217
N: 0.6109 0.2500 0.8783
N: 0.6901 0.5842 0.1232
N: 0.6901 0.9158 0.1232
N: 0.7535 0.0861 0.4466
N: 0.7535 0.4139 0.4466
N: 0.8704 0.2500 0.6250
O: 0.1126 0.0374 0.1859
O: 0.1126 0.4626 0.1859
O: 0.2461 0.2500 0.4088
O: 0.4986 0.2500 0.2151
O: 0.5014 0.7500 0.7849
O: 0.7539 0.7500 0.5912
O: 0.8874 0.5374 0.8141
O: 0.8874 0.9626 0.8141